Diffraction record for CaAc3S4. The powder diffractogram is calculated, not measured: it uses a structure optimized by DFT (GGA-PBE) and copper Kα.
Peak positions follow from Bragg's law for the DFT cell and can differ from measured ones.

The 12 most intense peaks (10 to 80 degrees two-theta), by intensity:
| d_spacing | I_rel | hkl |
| --- | --- | --- |
| 3.005 | 1000 | 1 2 1 |
| 3.473 | 654 | 2 0 0 |
| 2.128 | 375 | 2 0 2 |
| 2.122 | 372 | 1 2 -3 |
| 1.811 | 268 | 3 2 -3 |
| 3.463 | 216 | 0 0 2 |
| 1.733 | 198 | 0 0 4 |
| 1.815 | 193 | 3 2 1 |
| 1.346 | 171 | 3 2 3 |
| 1.342 | 170 | 0 4 4 |
| 1.503 | 124 | 2 4 2 |
| 5.376 | 111 | 0 1 1 |

Structural model:
a = 7.3816 Å, b = 8.4945 Å, c = 7.3442 Å
α = 90.00°, β = 109.42°, γ = 90.00°
Atoms (fractional coordinates):
1 Ca 0.0000 0.1226 0.2500
2 Ca 0.0000 0.8774 0.7500
3 Ac 0.0000 0.3737 0.7500
4 Ac 0.0000 0.6263 0.2500
5 Ac 0.5000 0.1262 0.7500
6 Ac 0.5000 0.3767 0.2500
7 Ac 0.5000 0.6233 0.7500
8 Ac 0.5000 0.8738 0.2500
9 S 0.2362 0.1176 0.0021
10 S 0.2362 0.8824 0.5021
11 S 0.2412 0.3665 0.4900
12 S 0.2412 0.6335 0.9900
13 S 0.7588 0.3665 0.0100
14 S 0.7588 0.6335 0.5100
15 S 0.7638 0.1176 0.4979
16 S 0.7638 0.8824 0.9979